Eu2SO6: theoretical PXRD pattern (Cu Kα), based on the PBE geometry in the Materials Project.

Most intense lines, 2θ from 10° to 90°, by angle:
| Position (°2θ) | I (rel.) |
| --- | --- |
| 13.42 | 32 |
| 29.16 | 100 |
| 29.52 | 48 |
| 29.70 | 48 |
| 30.06 | 91 |
| 41.00 | 27 |
| 43.67 | 22 |
| 51.58 | 23 |
| 51.81 | 22 |
| 52.50 | 21 |

Structural model:
a b c (Å): 7.2500 7.2500 8.2910
angles (deg): 106.94 106.94 34.21
Fractional positions:
Eu (0.1605, 0.1767, 0.0837)
Eu (0.1767, 0.1605, 0.5837)
Eu (0.8233, 0.8395, 0.4163)
Eu (0.8395, 0.8233, 0.9163)
S (0.4447, 0.5553, 0.7500)
S (0.5553, 0.4447, 0.2500)
O (0.2371, 0.2723, 0.3773)
O (0.2378, 0.7610, 0.6037)
O (0.2390, 0.7622, 0.8963)
O (0.2670, 0.5471, 0.2036)
O (0.2723, 0.2371, 0.8773)
O (0.4529, 0.7330, 0.2964)
O (0.5471, 0.2670, 0.7036)
O (0.7277, 0.7629, 0.1227)
O (0.7330, 0.4529, 0.7964)
O (0.7610, 0.2378, 0.1037)
O (0.7622, 0.2390, 0.3963)
O (0.7629, 0.7277, 0.6227)


EuSO4: theoretical PXRD pattern (Cu Kα), based on the PBE geometry in the Materials Project.

Most intense lines, 2θ from 10° to 90°, by angle:
| Position (°2θ) | I (rel.) |
| --- | --- |
| 20.73 | 44 |
| 23.28 | 53 |
| 26.75 | 74 |
| 27.67 | 63 |
| 29.71 | 96 |
| 32.30 | 42 |
| 33.00 | 46 |
| 43.64 | 100 |
| 44.61 | 37 |
| 44.87 | 34 |

Structural model:
a b c (Å): 8.4425 5.4284 6.9753
angles (deg): 90.00 90.00 90.00
Fractional positions:
Eu (0.1888, 0.2500, 0.1590)
Eu (0.3112, 0.7500, 0.6590)
Eu (0.6888, 0.2500, 0.3410)
Eu (0.8112, 0.7500, 0.8410)
S (0.0573, 0.2500, 0.6865)
S (0.4427, 0.7500, 0.1865)
S (0.5573, 0.2500, 0.8135)
S (0.9427, 0.7500, 0.3135)
O (0.0752, 0.0253, 0.8113)
O (0.0752, 0.4747, 0.8113)
O (0.1021, 0.7500, 0.3992)
O (0.1863, 0.2500, 0.5412)
O (0.3137, 0.7500, 0.0412)
O (0.3979, 0.2500, 0.8992)
O (0.4248, 0.5253, 0.3113)
O (0.4248, 0.9747, 0.3113)
O (0.5752, 0.0253, 0.6887)
O (0.5752, 0.4747, 0.6887)
O (0.6021, 0.7500, 0.1008)
O (0.6863, 0.2500, 0.9588)
O (0.8137, 0.7500, 0.4588)
O (0.8979, 0.2500, 0.6008)
O (0.9248, 0.5253, 0.1887)
O (0.9248, 0.9747, 0.1887)


Eu4Sb2O: theoretical PXRD pattern (Cu Kα), based on the PBE geometry in the Materials Project.

Most intense lines, 2θ from 10° to 90°, by angle:
| Position (°2θ) | I (rel.) |
| --- | --- |
| 28.02 | 86 |
| 31.79 | 36 |
| 32.27 | 19 |
| 33.61 | 100 |
| 36.97 | 67 |
| 49.54 | 41 |
| 53.28 | 23 |
| 61.27 | 19 |
| 63.39 | 20 |
| 64.49 | 30 |

Structural model:
a b c (Å): 9.1185 9.1185 9.1185
angles (deg): 149.07 149.07 44.31
Fractional positions:
Eu (0.0000, 0.5000, 0.5000)
Eu (0.1683, 0.1683, 0.0000)
Eu (0.5000, 0.0000, 0.5000)
Eu (0.8317, 0.8317, 0.0000)
Sb (0.3624, 0.3624, 0.0000)
Sb (0.6376, 0.6376, 0.0000)
O (0.0000, 0.0000, 0.0000)


Eu3SbO7: theoretical PXRD pattern (Cu Kα), based on the PBE geometry in the Materials Project.

Most intense lines, 2θ from 10° to 90°, by angle:
| Position (°2θ) | I (rel.) |
| --- | --- |
| 28.40 | 99 |
| 28.74 | 100 |
| 33.02 | 22 |
| 33.15 | 47 |
| 47.13 | 17 |
| 47.49 | 59 |
| 48.03 | 14 |
| 56.15 | 43 |
| 56.38 | 12 |
| 56.74 | 27 |

Structural model:
a b c (Å): 6.6171 6.6171 7.7127
angles (deg): 90.00 90.00 110.14
Fractional positions:
Eu (0.0032, 0.0032, 0.0000)
Eu (0.0282, 0.4973, 0.2509)
Eu (0.4973, 0.0282, 0.7491)
Eu (0.5027, 0.9718, 0.2491)
Eu (0.9718, 0.5027, 0.7509)
Eu (0.9968, 0.9968, 0.5000)
Sb (0.4978, 0.4978, 0.0000)
Sb (0.5022, 0.5022, 0.5000)
O (0.1284, 0.8716, 0.7500)
O (0.1376, 0.8624, 0.2500)
O (0.1791, 0.4234, 0.9726)
O (0.1863, 0.4353, 0.5306)
O (0.4234, 0.1791, 0.0274)
O (0.4353, 0.1863, 0.4694)
O (0.4369, 0.5631, 0.2500)
O (0.5631, 0.4369, 0.7500)
O (0.5647, 0.8137, 0.9694)
O (0.5766, 0.8209, 0.5274)
O (0.8137, 0.5647, 0.0306)
O (0.8209, 0.5766, 0.4726)
O (0.8624, 0.1376, 0.7500)
O (0.8716, 0.1284, 0.2500)


Eu3SbO7: theoretical PXRD pattern (Cu Kα), based on the PBE geometry in the Materials Project.

Most intense lines, 2θ from 10° to 90°, by angle:
| Position (°2θ) | I (rel.) |
| --- | --- |
| 28.44 | 98 |
| 28.73 | 100 |
| 33.13 | 68 |
| 47.22 | 17 |
| 47.53 | 59 |
| 47.97 | 14 |
| 56.23 | 43 |
| 56.43 | 12 |
| 56.71 | 27 |
| 76.58 | 10 |

Structural model:
a b c (Å): 6.6141 6.6141 7.6990
angles (deg): 90.00 90.00 110.01
Fractional positions:
Eu (0.0000, 0.0000, 0.0000)
Eu (0.0000, 0.0000, 0.5000)
Eu (0.0281, 0.4981, 0.7500)
Eu (0.4981, 0.0281, 0.2500)
Eu (0.5019, 0.9719, 0.7500)
Eu (0.9719, 0.5019, 0.2500)
Sb (0.5000, 0.5000, 0.0000)
Sb (0.5000, 0.5000, 0.5000)
O (0.1289, 0.8711, 0.2500)
O (0.1360, 0.8640, 0.7500)
O (0.1830, 0.4304, 0.0285)
O (0.1830, 0.4304, 0.4715)
O (0.4304, 0.1830, 0.5285)
O (0.4304, 0.1830, 0.9715)
O (0.4367, 0.5633, 0.7500)
O (0.5633, 0.4367, 0.2500)
O (0.5696, 0.8170, 0.0285)
O (0.5696, 0.8170, 0.4715)
O (0.8170, 0.5696, 0.5285)
O (0.8170, 0.5696, 0.9715)
O (0.8640, 0.1360, 0.2500)
O (0.8711, 0.1289, 0.7500)


EuSbO3: theoretical PXRD pattern (Cu Kα), based on the PBE geometry in the Materials Project.

Most intense lines, 2θ from 10° to 90°, by angle:
| Position (°2θ) | I (rel.) |
| --- | --- |
| 29.95 | 100 |
| 36.90 | 4 |
| 42.87 | 29 |
| 53.18 | 41 |
| 62.24 | 18 |
| 70.60 | 18 |
| 74.61 | 1 |
| 78.55 | 6 |
| 86.27 | 21 |

Structural model:
a b c (Å): 4.2187 4.2187 4.2187
angles (deg): 90.00 90.00 90.00
Fractional positions:
Eu (0.0000, 0.0000, 0.0000)
Sb (0.5000, 0.5000, 0.5000)
O (0.0000, 0.5000, 0.5000)
O (0.5000, 0.0000, 0.5000)
O (0.5000, 0.5000, 0.0000)